For BaAlCuWO5, the GGA+U geometry in the Materials Project gives the computed powder XRD pattern in this record (λ = 1.5418 Å (Cu Kα)).

Peak list (10 most intense, 2θ = 10–90°, most intense first)
hkl, 2θ/deg, Rel. int.
0 1 1, 24.26, 100.0
1 1 0, 32.56, 98.7
1 0 1, 25.05, 76.0
0 1 3, 35.80, 61.6
1 0 2, 29.75, 61.4
1 1 4, 50.09, 50.1
0 1 2, 29.07, 48.4
1 0 3, 36.36, 45.1
0 0 3, 27.53, 45.1
1 1 1, 33.88, 41.1

Cell and atoms:
a = 3.8190 Å, b = 3.9626 Å, c = 9.7216 Å
α = 90.00°, β = 90.00°, γ = 90.00°
Space group Pmm2 (No. 25)
One atom of each set of equivalent atoms:
Ba 0.0000 0.0000 0.0000
Al 0.0000 0.0000 0.3930
Cu 0.5000 0.5000 0.4763
W 0.5000 0.5000 0.7670
O 0.0000 0.5000 0.4364
O 0.0000 0.5000 0.7619
O 0.5000 0.0000 0.3503
O 0.5000 0.0000 0.7852
O 0.5000 0.5000 0.9796



For KVF4, the GGA+U geometry in the Materials Project gives the computed powder XRD pattern in this record (λ = 1.5418 Å (Cu Kα)).

Peak list (10 most intense, 2θ = 10–90°, most intense first)
hkl, 2θ/deg, Rel. int.
1 0 2, 23.59, 100.0
2 2 0, 27.01, 98.6
2 0 0, 14.04, 57.9
4 0 0, 28.29, 55.4
1 2 2, 33.16, 53.6
1 1 2, 26.28, 44.6
0 0 4, 45.92, 41.9
1 3 2, 42.42, 40.3
6 2 0, 49.30, 34.8
2 2 4, 54.08, 31.7

Cell and atoms:
a = 12.6178 Å, b = 7.7483 Å, c = 7.9053 Å
α = 90.00°, β = 90.00°, γ = 90.00°
Space group Pnma (No. 62)
One atom of each set of equivalent atoms:
K 0.0157 0.2500 0.1242
K 0.0279 0.2500 0.6252
V 0.2485 0.5005 0.3746
F 0.0982 0.0429 0.3670
F 0.1013 0.0451 0.8827
F 0.2163 0.7500 0.4218
F 0.2198 0.7500 0.8277
F 0.2484 0.0496 0.6245



For Ba2Li3Y3Mo8O32, the GGA+U geometry in the Materials Project gives the computed powder XRD pattern in this record (λ = 1.5418 Å (Cu Kα)).

Peak list (10 most intense, 2θ = 10–90°, most intense first)
hkl, 2θ/deg, Rel. int.
-1 1 1, 27.02, 100.0
1 1 5, 29.18, 59.9
1 0 4, 25.68, 52.6
1 -1 2, 28.16, 45.2
0 1 6, 30.86, 43.4
1 1 -4, 26.22, 34.9
0 1 -6, 31.11, 34.8
2 1 0, 33.88, 33.3
2 -1 3, 46.30, 26.2
1 0 -5, 29.62, 26.2

Cell and atoms:
a = 5.2931 Å, b = 6.9766 Å, c = 19.3271 Å
α = 89.05°, β = 88.90°, γ = 68.04°
Space group P1 (No. 1)
One atom of each set of equivalent atoms:
Ba 0.0000 0.0000 0.0000
Ba 0.0591 0.8821 0.4717
Li 0.3397 0.3111 0.4767
Li 0.7246 0.5666 0.9933
Li 0.8804 0.2330 0.1991
Y 0.1734 0.6457 0.7021
Y 0.1817 0.6471 0.2626
Y 0.8875 0.2357 0.7678
Mo 0.2949 0.4196 0.8849
Mo 0.2977 0.4144 0.0850
Mo 0.4597 0.0583 0.3242
Mo 0.4829 0.0608 0.6427
Mo 0.5788 0.8196 0.8261
Mo 0.5991 0.8240 0.1427
Mo 0.7651 0.4649 0.3845
Mo 0.7667 0.4618 0.5841
O 0.0258 0.2367 0.4164
O 0.0307 0.6399 0.0522
O 0.0963 0.3375 0.9439
O 0.1064 0.4597 0.8017
O 0.1371 0.2319 0.0971
O 0.2105 0.2825 0.2829
O 0.2525 0.9781 0.6980
O 0.2571 0.0294 0.8366
O 0.3005 0.8961 0.1994
O 0.3092 0.6583 0.9095
O 0.3213 0.1162 0.5619
O 0.3332 0.8501 0.3402
O 0.4216 0.6444 0.6024
O 0.4320 0.4674 0.1653
O 0.4891 0.7707 0.0596
O 0.5065 0.5388 0.4527
O 0.5201 0.2782 0.6908
O 0.5425 0.6020 0.7774
O 0.5537 0.3444 0.0156
O 0.5692 0.1077 0.4081
O 0.6165 0.4263 0.3057
O 0.6399 0.2357 0.8660
O 0.7122 0.0326 0.1280
O 0.7404 0.7645 0.9066
O 0.7508 0.2241 0.5585
O 0.7657 0.9673 0.2722
O 0.8053 0.8508 0.6315
O 0.8087 0.9021 0.7704
O 0.8643 0.6154 0.1882
O 0.9372 0.6446 0.3696
O 0.9567 0.4208 0.6671
O 0.9629 0.5433 0.5238



For Na2LiMnPCO7, the GGA+U geometry in the Materials Project gives the computed powder XRD pattern in this record (λ = 1.5418 Å (Cu Kα)).

Peak list (10 most intense, 2θ = 10–90°, most intense first)
hkl, 2θ/deg, Rel. int.
2 0 0, 26.27, 100.0
0 0 4, 35.03, 59.6
2 -2 0, 33.07, 48.0
2 2 0, 33.49, 38.2
0 2 -2, 26.41, 33.4
2 1 -2, 33.21, 32.0
4 0 0, 54.07, 29.0
0 1 2, 20.13, 25.9
0 1 -2, 19.89, 25.8
2 -4 0, 48.79, 25.1

Cell and atoms:
a = 6.7847 Å, b = 8.8631 Å, c = 10.2486 Å
α = 90.80°, β = 90.19°, γ = 90.78°
Space group P1 (No. 1)
One atom of each set of equivalent atoms:
Na 0.0000 0.0000 0.0000
Na 0.0000 0.4901 0.2508
Na 0.0009 0.0008 0.5022
Na 0.4977 0.4898 0.7489
Na 0.4976 0.9992 0.5013
Na 0.7402 0.6619 0.0041
Na 0.7432 0.6622 0.5033
Na 0.9988 0.4884 0.7477
Li 0.2591 0.8371 0.7529
Li 0.2639 0.8338 0.2503
Li 0.4763 0.0169 0.0083
Li 0.5252 0.4702 0.2409
Mn 0.2510 0.3822 0.5121
Mn 0.2508 0.3853 0.0148
Mn 0.7454 0.1014 0.2350
Mn 0.7463 0.1033 0.7379
P 0.2521 0.1488 0.7747
P 0.2522 0.1539 0.2705
P 0.7437 0.3308 0.9797
P 0.7450 0.3359 0.4760
C 0.2501 0.6934 0.4884
C 0.2579 0.7012 0.9923
C 0.7390 0.7971 0.2567
C 0.7481 0.8034 0.7591
O 0.0616 0.0683 0.2270
O 0.0649 0.0532 0.7395
O 0.2453 0.8328 0.4520
O 0.2463 0.3088 0.7144
O 0.2468 0.6619 0.1140
O 0.2513 0.5973 0.9000
O 0.2516 0.6587 0.6120
O 0.2540 0.5879 0.3987
O 0.2551 0.1691 0.4224
O 0.2680 0.1685 0.9267
O 0.2683 0.3167 0.2151
O 0.2751 0.8415 0.9593
O 0.4253 0.0515 0.2244
O 0.4283 0.0534 0.7259
O 0.5663 0.4269 0.5264
O 0.5675 0.4287 0.0271
O 0.7248 0.6517 0.2655
O 0.7292 0.1676 0.0331
O 0.7297 0.3206 0.3233
O 0.7426 0.3192 0.8274
O 0.7442 0.8827 0.3614
O 0.7451 0.8904 0.8623
O 0.7463 0.8649 0.6440
O 0.7488 0.8618 0.1435
O 0.7516 0.1753 0.5339
O 0.7522 0.6585 0.7699
O 0.9343 0.4162 0.0249
O 0.9337 0.4293 0.5125



For Li3FePCO7, the GGA+U geometry in the Materials Project gives the computed powder XRD pattern in this record (λ = 1.5418 Å (Cu Kα)).

Peak list (10 most intense, 2θ = 10–90°, most intense first)
hkl, 2θ/deg, Rel. int.
1 1 -1, 17.54, 100.0
2 2 0, 34.93, 92.4
1 1 1, 22.22, 55.7
2 1 -2, 25.84, 47.0
1 0 0, 10.38, 36.0
0 1 2, 24.51, 31.8
2 1 0, 25.06, 30.0
4 2 0, 51.43, 27.3
2 0 -4, 36.89, 26.6
2 0 2, 35.17, 24.4

Cell and atoms:
a = 9.4796 Å, b = 6.4404 Å, c = 9.7831 Å
α = 90.00°, β = 115.98°, γ = 90.00°
Space group P2_1/c (No. 14)
One atom of each set of equivalent atoms:
Li 0.1011 0.2487 0.4358
Li 0.2843 0.0134 0.7598
Li 0.3514 0.7458 0.0665
Fe 0.2674 0.9997 0.2624
P 0.4086 0.2492 0.5643
C 0.0408 0.7469 0.8715
O 0.0712 0.7425 0.5121
O 0.1059 0.2469 0.2349
O 0.1518 0.7319 0.8278
O 0.3089 0.0596 0.5653
O 0.3121 0.0586 0.0738
O 0.4216 0.2485 0.9105
O 0.4237 0.7472 0.3030



For Fe10O9F11, the GGA+U geometry in the Materials Project gives the computed powder XRD pattern in this record (λ = 1.5418 Å (Cu Kα)).

Peak list (10 most intense, 2θ = 10–90°, most intense first)
hkl, 2θ/deg, Rel. int.
1 0 -1, 25.76, 100.0
0 5 1, 34.65, 99.6
1 0 1, 27.17, 93.3
2 0 -2, 52.98, 68.7
1 5 -2, 51.40, 61.8
3 5 0, 66.33, 27.5
0 5 3, 66.14, 21.5
1 5 -1, 39.14, 18.8
1 5 1, 40.12, 16.7
0 10 0, 59.99, 16.4

Cell and atoms:
a = 4.7609 Å, b = 15.4207 Å, c = 4.7749 Å
α = 90.00°, β = 92.99°, γ = 90.00°
Space group Pm (No. 6)
One atom of each set of equivalent atoms:
Fe 0.0000 0.0000 0.0000
Fe 0.0057 0.1885 0.0138
Fe 0.0465 0.3967 0.9918
Fe 0.4561 0.5000 0.5084
Fe 0.4656 0.3029 0.4864
Fe 0.5039 0.0966 0.5041
O 0.1868 0.2966 0.1854
O 0.1905 0.5000 0.1845
O 0.2025 0.0975 0.2050
O 0.3044 0.3986 0.6873
O 0.8016 0.1000 0.8047
F 0.3001 0.0000 0.7048
F 0.3016 0.2034 0.6940
F 0.6894 0.4001 0.3040
F 0.6904 0.2049 0.3072
F 0.7044 0.0000 0.3013
F 0.7931 0.2984 0.7917
F 0.8016 0.5000 0.7956



For CrO, the GGA+U geometry in the Materials Project gives the computed powder XRD pattern in this record (λ = 1.5418 Å (Cu Kα)).

Peak list (10 most intense, 2θ = 10–90°, most intense first)
hkl, 2θ/deg, Rel. int.
1 1 1, 33.88, 100.0
1 1 -1, 33.74, 99.5
0 2 2, 54.03, 37.2
0 0 2, 32.93, 25.4
2 2 0, 61.03, 24.1
1 3 -1, 70.92, 23.5
2 0 -2, 54.66, 17.8
2 0 2, 55.04, 17.4
1 1 -3, 59.22, 16.8
1 1 3, 59.49, 16.3

Cell and atoms:
a = 4.2463 Å, b = 4.3440 Å, c = 5.4408 Å
α = 90.00°, β = 90.38°, γ = 90.00°
Space group C2/c (No. 15)
One atom of each set of equivalent atoms:
Cr 0.2500 0.2500 0.0000
O 0.0000 0.0022 0.2500



For Li4Fe2SiO7, the GGA+U geometry in the Materials Project gives the computed powder XRD pattern in this record (λ = 1.5418 Å (Cu Kα)).

Peak list (10 most intense, 2θ = 10–90°, most intense first)
hkl, 2θ/deg, Rel. int.
0 0 1, 17.78, 100.0
1 0 -1, 22.97, 70.7
-1 2 1, 42.17, 67.7
2 1 -1, 45.41, 67.6
1 -1 2, 44.33, 64.5
1 1 0, 28.96, 42.8
0 1 0, 18.16, 32.9
1 -1 1, 30.00, 27.5
0 1 -1, 23.70, 20.0
-3 1 2, 62.87, 19.8

Cell and atoms:
a = 4.9835 Å, b = 5.0385 Å, c = 5.1199 Å
α = 95.37°, β = 100.49°, γ = 101.82°
Space group P-1 (No. 2)
One atom of each set of equivalent atoms:
Li 0.0750 0.1513 0.2943
Li 0.3584 0.7455 0.4500
Fe 0.1993 0.4180 0.8411
Si 0.5000 0.0000 0.0000
O 0.0000 0.5000 0.5000
O 0.1687 0.7762 0.0609
O 0.3059 0.0815 0.6941
O 0.4370 0.3018 0.1767



For BaV4ZnO8, the GGA+U geometry in the Materials Project gives the computed powder XRD pattern in this record (λ = 1.5418 Å (Cu Kα)).

Peak list (10 most intense, 2θ = 10–90°, most intense first)
hkl, 2θ/deg, Rel. int.
1 0 2, 30.57, 100.0
1 1 0, 32.62, 79.4
2 0 2, 45.31, 35.3
2 1 2, 56.94, 34.1
2 -1 4, 60.23, 32.5
3 0 0, 58.21, 24.2
1 0 0, 18.66, 15.7
2 -1 1, 34.85, 15.4
4 -1 2, 76.70, 13.1
3 0 4, 79.57, 11.8

Cell and atoms:
a = 5.4904 Å, b = 5.4904 Å, c = 7.4158 Å
α = 90.00°, β = 90.00°, γ = 120.00°
Space group P-31m (No. 162)
One atom of each set of equivalent atoms:
Ba 0.0000 0.0000 0.0000
V 0.3333 0.6667 0.2560
Zn 0.0000 0.0000 0.5000
O 0.0000 0.3168 0.3223
O 0.3333 0.6667 0.0000